For LiVP4H4O14, a structure optimized by DFT (GGA+U) gives the theoretical X-ray powder pattern in this record (λ = 1.5418 Å (Cu Kα)).
Lines closer than 0.1° are merged.

Main lines, by angle (2θ = 10–90°):
hkl  2theta  I/Imax
0 1 1  12.0  36
1 0 -1  20.6  50
1 1 2  23.5  100
1 1 -2  27.9  97
-1 2 1  28.3  46
0 3 -1  29.5  82

Cell and atoms:
```
data_LiVP4H4O14
_chemical_formula_sum 'Li2 V2 P8 H8 O28'
_cell_length_a 5.168
_cell_length_b 9.864
_cell_length_c 10.328
_cell_angle_alpha 84.55
_cell_angle_beta 81.43
_cell_angle_gamma 83.47
_symmetry_space_group_name_H-M 'P -1'
_symmetry_Int_Tables_number 2
_symmetry_space_group_name_Hall '-P 1'
loop_
_atom_site_label
_atom_site_type_symbol
_atom_site_fract_x
_atom_site_fract_y
_atom_site_fract_z
_atom_site_occupancy
Li1 Li 0.226 0.231 0.273 1
V1 V 0.000 0.000 0.500 1
V2 V 0.500 0.500 0.000 1
P1 P 0.064 0.453 0.777 1
P2 P 0.194 0.816 0.918 1
P3 P 0.304 0.682 0.580 1
P4 P 0.439 0.046 0.724 1
H1 H 0.114 0.193 0.672 1
H2 H 0.196 0.632 0.392 1
H3 H 0.295 0.866 0.107 1
H4 H 0.392 0.308 0.827 1
O1 O 0.022 0.339 0.697 1
O2 O 0.055 0.186 0.135 1
O3 O 0.109 0.813 0.573 1
O4 O 0.117 0.586 0.683 1
O5 O 0.144 0.880 0.053 1
O6 O 0.162 0.499 0.122 1
O7 O 0.184 0.092 0.653 1
O8 O 0.321 0.408 0.847 1
O9 O 0.336 0.005 0.377 1
O10 O 0.349 0.618 0.445 1
O11 O 0.381 0.684 0.926 1
O12 O 0.387 0.914 0.819 1
O13 O 0.444 0.309 0.371 1
O14 O 0.486 0.162 0.800 1
```